# 1
# ErAuSeO
Simulated XRD peak list, Cu Kα (λ = 1.5418 Å). Input: a crystal structure in OQMD, relaxed with GGA-PBE.
Intensities are scaled so that the largest is 100.

a b c (Å): 9.6446 3.9435 3.9435
angles (deg): 89.85 90.00 90.00
Element x y z (fractional)
Er (0.1120, 0.2500, 0.7500)
Er (0.8880, 0.7500, 0.2500)
Au (0.5000, 0.0010, 0.0010)
Au (0.5000, 0.5010, 0.5010)
Se (0.2776, 0.7510, 0.2510)
Se (0.7224, 0.2510, 0.7510)
O (0.0000, 0.2500, 0.2500)
O (0.0000, 0.7500, 0.7500)

Most intense lines, 2θ from 10° to 90°, by angle:
18.40°, I = 52; 27.75°, I = 36; 29.26°, I = 91; 32.06°, I = 90; 33.48°, I = 85; 36.04°, I = 64; 37.27°, I = 62; 42.92°, I = 39; 47.06°, I = 100; 50.00°, I = 61



# 2
# ErAuSeO
Simulated XRD peak list, Cu Kα (λ = 1.5418 Å). Input: a crystal structure in OQMD, relaxed with GGA-PBE.
Intensities are scaled so that the largest is 100.

a b c (Å): 19.2080 3.9449 3.9449
angles (deg): 89.84 90.00 90.00
Element x y z (fractional)
Er (0.0560, 0.2500, 0.7500)
Er (0.4440, 0.7500, 0.2500)
Er (0.5560, 0.2500, 0.7500)
Er (0.9440, 0.7500, 0.2500)
Au (0.2498, 0.0056, 0.0008)
Au (0.2502, 0.5056, 0.5008)
Au (0.7502, 0.0008, 0.0056)
Au (0.7498, 0.5008, 0.5056)
Se (0.1383, 0.7522, 0.2494)
Se (0.3617, 0.2522, 0.7494)
Se (0.6383, 0.7494, 0.2522)
Se (0.8617, 0.2494, 0.7522)
O (0.0000, 0.2501, 0.2501)
O (0.0000, 0.7501, 0.7501)
O (0.5000, 0.2501, 0.2501)
O (0.5000, 0.7501, 0.7501)

Most intense lines, 2θ from 10° to 90°, by angle:
18.48°, I = 57; 27.87°, I = 40; 29.30°, I = 99; 32.04°, I = 100; 33.49°, I = 95; 36.13°, I = 71; 37.30°, I = 64; 42.99°, I = 43; 47.03°, I = 81; 58.30°, I = 36



# 3
# ErTeAuO
Simulated XRD peak list, Cu Kα (λ = 1.5418 Å). Input: a crystal structure in OQMD, relaxed with GGA-PBE.
Intensities are scaled so that the largest is 100.

a b c (Å): 5.6298 10.0937 5.6460
angles (deg): 90.00 90.00 90.00
Element x y z (fractional)
Er (0.0000, 0.1048, 0.2500)
Er (0.0000, 0.8952, 0.7500)
Er (0.5000, 0.1048, 0.7500)
Er (0.5000, 0.8952, 0.2500)
Te (0.0000, 0.2830, 0.7500)
Te (0.0000, 0.7170, 0.2500)
Te (0.5000, 0.2830, 0.2500)
Te (0.5000, 0.7170, 0.7500)
Au (0.2500, 0.5000, 0.0380)
Au (0.2500, 0.5000, 0.5380)
Au (0.7500, 0.5000, 0.4620)
Au (0.7500, 0.5000, 0.9620)
O (0.2500, 0.0000, 0.0011)
O (0.2500, 0.0000, 0.5011)
O (0.7500, 0.0000, 0.4989)
O (0.7500, 0.0000, 0.9989)

Most intense lines, 2θ from 10° to 90°, by angle:
17.57°, I = 30; 28.53°, I = 85; 32.99°, I = 100; 34.89°, I = 72; 36.51°, I = 76; 44.90°, I = 34; 45.51°, I = 63; 48.42°, I = 32; 64.51°, I = 24; 65.85°, I = 36



# 4
# ErTeAuO
Simulated XRD peak list, Cu Kα (λ = 1.5418 Å). Input: a crystal structure in OQMD, relaxed with GGA-PBE.
Intensities are scaled so that the largest is 100.

a b c (Å): 20.6678 4.0036 4.0036
angles (deg): 90.00 90.00 90.00
Element x y z (fractional)
Er (0.0508, 0.2499, 0.7501)
Er (0.4492, 0.7499, 0.2501)
Er (0.5508, 0.2501, 0.7499)
Er (0.9492, 0.7501, 0.2499)
Te (0.1380, 0.7488, 0.2518)
Te (0.3620, 0.2488, 0.7518)
Te (0.6380, 0.7518, 0.2488)
Te (0.8620, 0.2518, 0.7488)
Au (0.2502, 0.0011, 0.0063)
Au (0.2498, 0.5011, 0.5063)
Au (0.7498, 0.0063, 0.0011)
Au (0.7502, 0.5063, 0.5011)
O (0.0000, 0.2501, 0.2501)
O (0.0000, 0.7501, 0.7501)
O (0.5000, 0.2501, 0.2501)
O (0.5000, 0.7501, 0.7501)

Most intense lines, 2θ from 10° to 90°, by angle:
17.16°, I = 40; 28.20°, I = 93; 31.61°, I = 100; 32.80°, I = 78; 34.34°, I = 99; 36.18°, I = 58; 43.80°, I = 35; 46.19°, I = 67; 55.01°, I = 42; 58.06°, I = 44